[1]
RbCN2: theoretical X-ray powder pattern (Cu Ka), based on a cell relaxed with GGA-PBE.
Peak positions follow from Bragg's law for the DFT cell and can differ from measured ones.

The 6 most intense peaks (2θ = 10–90°), sorted by position:
two_theta  intensity
14.90  54
26.80  69
30.04  100
30.27  62
41.28  55
47.48  38

abc: 7.6929 9.3275 9.4105
angles: 90.00 90.00 90.00
Space group P2_12_12_1 (No. 19)
Inequivalent atoms, fractional coordinates:
Rb (0.0158, 0.2481, 0.3479) [4 per cell]
Rb (0.2337, 0.4017, 0.9910) [4 per cell]
C (0.0153, 0.2491, 0.6863) [4 per cell]
C (0.2316, 0.0606, 0.0101) [4 per cell]
N (0.1042, 0.0619, 0.0902) [4 per cell]
N (0.1112, 0.6683, 0.7999) [4 per cell]
N (0.1405, 0.3303, 0.6688) [4 per cell]
N (0.1407, 0.9371, 0.4303) [4 per cell]

=====

[2]
Tm2ZnIr: theoretical X-ray powder pattern (Cu Ka), based on a cell relaxed with GGA-PBE.
Peak positions follow from Bragg's law for the DFT cell and can differ from measured ones.

The 6 most intense peaks (2θ = 10–90°), sorted by position:
two_theta  intensity
22.40  9
36.98  100
43.67  5
53.30  18
66.65  36
78.74  11

abc: 6.8747 6.8747 6.8747
angles: 90.00 90.00 90.00
Space group Fm-3m (No. 225)
Inequivalent atoms, fractional coordinates:
Tm (0.2500, 0.2500, 0.2500) [8 per cell]
Zn (0.0000, 0.0000, 0.0000) [4 per cell]
Ir (0.0000, 0.0000, 0.5000) [4 per cell]

=====

[3]
K2LiS2O4F2: theoretical X-ray powder pattern (Cu Ka), based on a cell relaxed with GGA-PBE.
Peak positions follow from Bragg's law for the DFT cell and can differ from measured ones.

The 6 most intense peaks (2θ = 10–90°), sorted by position:
two_theta  intensity
23.61  64
26.68  100
27.42  47
27.67  83
28.76  65
40.72  55

abc: 4.5516 6.4617 7.6524
angles: 92.24 101.08 102.31
Space group P1 (No. 1)
Inequivalent atoms, fractional coordinates:
K (0.0000, 0.0000, 0.0000) [1 per cell]
K (0.3443, 0.5177, 0.7278) [1 per cell]
Li (0.9586, 0.8614, 0.5112) [1 per cell]
S (0.4833, 0.6015, 0.2054) [1 per cell]
S (0.6251, 0.1463, 0.5078) [1 per cell]
O (0.2747, 0.0841, 0.4587) [1 per cell]
O (0.4313, 0.7470, 0.0634) [1 per cell]
O (0.7434, 0.2185, 0.7052) [1 per cell]
O (0.8094, 0.6561, 0.3000) [1 per cell]
F (0.4823, 0.3671, 0.0667) [1 per cell]
F (0.9096, 0.7459, 0.7135) [1 per cell]